[1]
Calculated powder X-ray diffraction pattern
Compound: Sc2Zn3Hg3
Radiation: CuKα
Structure: a DFT-relaxed cell (GGA-PBE, OQMD)

Largest 10 diffraction maxima, low angle first, 10 to 90 degrees two-theta:
Position (°2θ), Rel. int.
16.7, 16
25.5, 44
28.5, 20
33.7, 21
38.5, 62
38.7, 100
39.1, 47
51.9, 14
70.1, 21
72.9, 19

Structure:
a b c (Å): 6.154 4.647 6.178
angles (deg): 90.00 118.98 90.00
Sites, in units of the cell vectors:
Sc: 0.000 0.000 0.000
Sc: 0.330 0.500 0.670
Zn: 0.337 0.500 0.186
Zn: 0.489 0.000 0.479
Zn: 0.830 0.500 0.169
Hg: 0.002 0.000 0.488
Hg: 0.499 0.000 0.010
Hg: 0.814 0.500 0.671

=====

[2]
Calculated powder X-ray diffraction pattern
Compound: SrErTe3Au
Radiation: CuKα
Structure: a DFT-relaxed cell (GGA-PBE, OQMD)

Largest 10 diffraction maxima, low angle first, 10 to 90 degrees two-theta:
Position (°2θ), Rel. int.
12.2, 77
26.0, 27
28.4, 27
28.6, 45
31.6, 100
33.3, 46
39.2, 15
40.4, 50
41.5, 37
44.1, 29

Structure:
a b c (Å): 14.534 4.356 11.633
angles (deg): 90.00 90.00 90.00
Sites, in units of the cell vectors:
Sr: 0.219 0.250 0.053
Sr: 0.281 0.750 0.553
Sr: 0.719 0.250 0.447
Sr: 0.781 0.750 0.947
Er: 0.011 0.250 0.326
Er: 0.489 0.750 0.826
Er: 0.511 0.250 0.174
Er: 0.989 0.750 0.674
Te: 0.108 0.250 0.562
Te: 0.120 0.750 0.873
Te: 0.150 0.750 0.256
Te: 0.350 0.250 0.756
Te: 0.380 0.250 0.373
Te: 0.392 0.750 0.062
Te: 0.608 0.250 0.938
Te: 0.620 0.750 0.627
Te: 0.650 0.750 0.244
Te: 0.850 0.250 0.744
Te: 0.880 0.250 0.127
Te: 0.892 0.750 0.438
Au: 0.007 0.750 0.092
Au: 0.493 0.250 0.592
Au: 0.507 0.750 0.408
Au: 0.993 0.250 0.908

=====

[3]
Calculated powder X-ray diffraction pattern
Compound: TbPr2As2N6
Radiation: CuKα
Structure: a DFT-relaxed cell (GGA-PBE, OQMD)

Largest 10 diffraction maxima, low angle first, 10 to 90 degrees two-theta:
Position (°2θ), Rel. int.
23.3, 12
27.6, 6
32.6, 100
39.9, 6
43.1, 14
46.7, 19
58.1, 31
68.1, 6
76.9, 5
77.5, 12

Structure:
a b c (Å): 10.088 10.088 10.088
angles (deg): 157.75 157.75 31.68
Sites, in units of the cell vectors:
Tb: 0.000 0.000 0.000
Pr: 0.179 0.179 0.000
Pr: 0.821 0.821 0.000
As: 0.399 0.399 0.000
As: 0.601 0.601 0.000
N: 0.081 0.581 0.500
N: 0.303 0.303 0.000
N: 0.419 0.919 0.500
N: 0.581 0.081 0.500
N: 0.697 0.697 0.000
N: 0.919 0.419 0.500

=====

[4]
Calculated powder X-ray diffraction pattern
Compound: Fe2SiBi
Radiation: CuKα
Structure: a DFT-relaxed cell (GGA-PBE, OQMD)

Largest 10 diffraction maxima, low angle first, 10 to 90 degrees two-theta:
Position (°2θ), Rel. int.
14.0, 17
24.3, 19
28.1, 22
31.5, 50
40.2, 100
42.8, 20
58.2, 14
60.1, 17
65.8, 17
73.1, 26

Structure:
a b c (Å): 6.345 6.345 6.345
angles (deg): 90.00 90.00 90.00
Sites, in units of the cell vectors:
Fe: 0.206 0.206 0.206
Fe: 0.206 0.206 0.794
Fe: 0.206 0.794 0.206
Fe: 0.206 0.794 0.794
Fe: 0.794 0.206 0.206
Fe: 0.794 0.206 0.794
Fe: 0.794 0.794 0.206
Fe: 0.794 0.794 0.794
Si: 0.000 0.000 0.000
Si: 0.000 0.000 0.500
Si: 0.000 0.500 0.000
Si: 0.500 0.000 0.000
Bi: 0.000 0.500 0.500
Bi: 0.500 0.000 0.500
Bi: 0.500 0.500 0.000
Bi: 0.500 0.500 0.500

=====

[5]
Calculated powder X-ray diffraction pattern
Compound: SrPrMg4Pt2
Radiation: CuKα
Structure: a DFT-relaxed cell (GGA-PBE, OQMD)

Largest 10 diffraction maxima, low angle first, 10 to 90 degrees two-theta:
Position (°2θ), Rel. int.
16.6, 28
21.5, 73
22.3, 21
24.8, 51
31.2, 41
34.5, 100
35.3, 32
39.8, 29
42.1, 23
46.8, 39

Structure:
a b c (Å): 8.269 4.292 10.676
angles (deg): 90.00 90.00 90.00
Sites, in units of the cell vectors:
Sr: 0.000 0.000 0.000
Sr: 0.000 0.500 0.500
Pr: 0.500 0.000 0.121
Pr: 0.500 0.500 0.621
Mg: 0.194 0.000 0.716
Mg: 0.194 0.500 0.216
Mg: 0.307 0.000 0.403
Mg: 0.307 0.500 0.903
Mg: 0.693 0.000 0.403
Mg: 0.693 0.500 0.903
Mg: 0.806 0.000 0.716
Mg: 0.806 0.500 0.216
Pt: 0.000 0.000 0.284
Pt: 0.000 0.500 0.784
Pt: 0.500 0.000 0.831
Pt: 0.500 0.500 0.331

=====

[6]
Calculated powder X-ray diffraction pattern
Compound: HoHfCSe
Radiation: CuKα
Structure: a DFT-relaxed cell (GGA-PBE, OQMD)

Largest 10 diffraction maxima, low angle first, 10 to 90 degrees two-theta:
Position (°2θ), Rel. int.
29.0, 28
29.8, 13
35.8, 100
42.0, 11
51.4, 27
51.8, 10
58.3, 8
64.2, 18
68.4, 16
86.6, 17

Structure:
a b c (Å): 3.557 3.557 12.921
angles (deg): 90.00 90.00 120.00
Sites, in units of the cell vectors:
Ho: 0.000 0.000 0.155
Ho: 0.000 0.000 0.845
Hf: 0.667 0.333 0.351
Hf: 0.667 0.333 0.649
C: 0.333 0.667 0.269
C: 0.333 0.667 0.731
Se: 0.000 0.000 0.500
Se: 0.667 0.333 0.000

=====

[7]
Calculated powder X-ray diffraction pattern
Compound: Sm2Al2O5
Radiation: CuKα
Structure: a DFT-relaxed cell (GGA-PBE, OQMD)

Largest 10 diffraction maxima, low angle first, 10 to 90 degrees two-theta:
Position (°2θ), Rel. int.
23.8, 59
24.8, 19
33.9, 43
34.7, 100
42.5, 53
48.7, 31
50.9, 13
61.2, 39
62.6, 16
73.1, 17

Structure:
a b c (Å): 3.739 3.739 7.174
angles (deg): 90.00 90.00 90.00
Sites, in units of the cell vectors:
Sm: 0.000 0.000 0.000
Sm: 0.000 0.000 0.500
Al: 0.500 0.500 0.237
Al: 0.500 0.500 0.763
O: 0.000 0.500 0.245
O: 0.000 0.500 0.755
O: 0.500 0.000 0.245
O: 0.500 0.000 0.755
O: 0.500 0.500 0.500

=====

[8]
Calculated powder X-ray diffraction pattern
Compound: Pr6Fe13Sb
Radiation: CuKα
Structure: a DFT-relaxed cell (GGA-PBE, OQMD)

Largest 10 diffraction maxima, low angle first, 10 to 90 degrees two-theta:
Position (°2θ), Rel. int.
27.3, 86
31.3, 87
31.5, 33
31.9, 38
34.4, 40
35.3, 100
37.9, 68
42.8, 50
46.8, 42
58.0, 35

Structure:
a b c (Å): 13.052 13.052 13.052
angles (deg): 144.17 144.17 51.58
Sites, in units of the cell vectors:
Pr: 0.024 0.524 0.176
Pr: 0.105 0.105 0.000
Pr: 0.152 0.976 0.500
Pr: 0.348 0.848 0.824
Pr: 0.395 0.395 0.000
Pr: 0.476 0.652 0.500
Pr: 0.524 0.348 0.500
Pr: 0.605 0.605 0.000
Pr: 0.652 0.152 0.176
Pr: 0.848 0.024 0.500
Pr: 0.895 0.895 0.000
Pr: 0.976 0.476 0.824
Fe: 0.000 0.500 0.500
Fe: 0.020 0.294 0.500
Fe: 0.067 0.209 0.277
Fe: 0.120 0.620 0.857
Fe: 0.206 0.480 0.500
Fe: 0.209 0.933 0.142
Fe: 0.237 0.737 0.857
Fe: 0.263 0.120 0.500
Fe: 0.291 0.433 0.723
Fe: 0.294 0.794 0.273
Fe: 0.380 0.237 0.500
Fe: 0.433 0.709 0.142
Fe: 0.480 0.980 0.273
Fe: 0.500 0.000 0.500
Fe: 0.520 0.020 0.727
Fe: 0.567 0.291 0.858
Fe: 0.620 0.763 0.500
Fe: 0.706 0.206 0.727
Fe: 0.709 0.567 0.277
Fe: 0.737 0.880 0.500
Fe: 0.763 0.263 0.143
Fe: 0.791 0.067 0.858
Fe: 0.794 0.520 0.500
Fe: 0.880 0.380 0.143
Fe: 0.933 0.791 0.723
Fe: 0.980 0.706 0.500
Sb: 0.250 0.250 0.000
Sb: 0.750 0.750 0.000

=====

[9]
Calculated powder X-ray diffraction pattern
Compound: Cs2Er4Cu4Te9
Radiation: CuKα
Structure: a DFT-relaxed cell (GGA-PBE, OQMD)

Largest 10 diffraction maxima, low angle first, 10 to 90 degrees two-theta:
Position (°2θ), Rel. int.
12.0, 47
25.5, 38
26.6, 60
27.1, 100
27.2, 55
28.8, 72
35.6, 42
38.5, 43
41.2, 77
41.8, 37

Structure:
a b c (Å): 8.087 8.087 17.680
angles (deg): 107.37 107.37 31.45
Sites, in units of the cell vectors:
Cs: 0.034 0.034 0.274
Cs: 0.966 0.966 0.726
Er: 0.228 0.228 0.100
Er: 0.347 0.347 0.444
Er: 0.653 0.653 0.556
Er: 0.772 0.772 0.900
Cu: 0.249 0.249 0.736
Cu: 0.424 0.424 0.027
Cu: 0.576 0.576 0.973
Cu: 0.751 0.751 0.264
Te: 0.000 0.000 0.500
Te: 0.138 0.138 0.922
Te: 0.294 0.294 0.599
Te: 0.344 0.344 0.273
Te: 0.397 0.397 0.873
Te: 0.603 0.603 0.127
Te: 0.656 0.656 0.727
Te: 0.706 0.706 0.401
Te: 0.862 0.862 0.078

=====

[10]
Calculated powder X-ray diffraction pattern
Compound: Cs2Gd2TeO3
Radiation: CuKα
Structure: a DFT-relaxed cell (GGA-PBE, OQMD)

Largest 10 diffraction maxima, low angle first, 10 to 90 degrees two-theta:
Position (°2θ), Rel. int.
28.3, 22
29.5, 25
30.1, 100
33.0, 74
36.6, 23
45.7, 18
48.9, 40
50.9, 19
58.2, 22
58.5, 15

Structure:
a b c (Å): 3.723 3.723 15.120
angles (deg): 90.00 90.00 120.00
Sites, in units of the cell vectors:
Cs: 0.000 0.000 0.000
Cs: 0.333 0.667 0.441
Gd: 0.667 0.333 0.219
Gd: 0.667 0.333 0.775
Te: 0.000 0.000 0.633
O: 0.000 0.000 0.290
O: 0.333 0.667 0.145
O: 0.333 0.667 0.837

=====

[11]
Calculated powder X-ray diffraction pattern
Compound: GaCu2As
Radiation: CuKα
Structure: a DFT-relaxed cell (GGA-PBE, OQMD)

Largest 4 diffraction maxima, low angle first, 10 to 90 degrees two-theta:
Position (°2θ), Rel. int.
41.0, 100
59.4, 16
74.8, 31
89.0, 10

Structure:
a b c (Å): 6.222 6.222 6.222
angles (deg): 90.00 90.00 90.00
Sites, in units of the cell vectors:
Ga: 0.000 0.000 0.000
Ga: 0.000 0.000 0.500
Ga: 0.000 0.500 0.000
Ga: 0.500 0.000 0.000
Cu: 0.243 0.243 0.243
Cu: 0.243 0.243 0.757
Cu: 0.243 0.757 0.243
Cu: 0.243 0.757 0.757
Cu: 0.757 0.243 0.243
Cu: 0.757 0.243 0.757
Cu: 0.757 0.757 0.243
Cu: 0.757 0.757 0.757
As: 0.000 0.500 0.500
As: 0.500 0.000 0.500
As: 0.500 0.500 0.000
As: 0.500 0.500 0.500

=====

[12]
Calculated powder X-ray diffraction pattern
Compound: YZrCS
Radiation: CuKα
Structure: a DFT-relaxed cell (GGA-PBE, OQMD)

Largest 10 diffraction maxima, low angle first, 10 to 90 degrees two-theta:
Position (°2θ), Rel. int.
28.3, 13
29.1, 28
29.9, 24
36.2, 100
41.0, 12
51.5, 29
59.4, 12
64.6, 17
69.3, 11
87.1, 15

Structure:
a b c (Å): 3.546 3.546 12.636
angles (deg): 90.00 90.00 120.00
Sites, in units of the cell vectors:
Y: 0.000 0.000 0.151
Y: 0.000 0.000 0.849
Zr: 0.333 0.667 0.357
Zr: 0.333 0.667 0.643
C: 0.667 0.333 0.266
C: 0.667 0.333 0.734
S: 0.000 0.000 0.500
S: 0.333 0.667 0.000

=====

What is the formula in the fifth record?
SrPrMg4Pt2